For Ba2BiPtO6, the PBE geometry in OQMD gives the calculated powder X-ray diffraction pattern in this record (λ = 1.5418 Å (Cu Kα)).
Peak positions follow from Bragg's law for the DFT cell and can differ from measured ones.

The 6 most intense peaks (2θ = 15–90°), by intensity:
| h k l | 2theta | d [Å] | Rel. int. |
| --- | --- | --- | --- |
| 2 0 0 | 29.89 | 2.990 | 100.0 |
| 3 1 2 | 53.06 | 1.726 | 41.4 |
| 2 2 0 | 42.78 | 2.114 | 27.4 |
| 1 5 2 | 86.04 | 1.130 | 22.6 |
| 4 2 0 | 70.42 | 1.337 | 18.4 |
| 4 0 0 | 62.09 | 1.495 | 17.6 |

Cell: 5.977 5.982 8.456 Å, 90.02 90.01 90.00°
Space group P-1 (No. 2)
Unique sites:
Ba (0.000, 0.000, 0.250)
Ba (0.500, 0.500, 0.250)
Bi (0.000, 0.500, 0.000)
Bi (0.500, 0.000, 0.500)
Pt (0.000, 0.500, 0.500)
Pt (0.500, 0.000, 0.000)
O (0.001, 0.500, 0.262)
O (0.233, 0.257, 0.500)
O (0.245, 0.732, 0.501)
O (0.258, 0.765, 0.999)
O (0.265, 0.241, 0.999)
O (0.499, 0.000, 0.238)



For Ba3ReBi2O9, the PBE geometry in OQMD gives the calculated powder X-ray diffraction pattern in this record (λ = 1.5418 Å (Cu Kα)).
Peak positions follow from Bragg's law for the DFT cell and can differ from measured ones.

The 6 most intense peaks (2θ = 15–90°), by intensity:
| h k l | 2theta | d [Å] | Rel. int. |
| --- | --- | --- | --- |
| 1 1 0 | 28.73 | 3.108 | 100.0 |
| 0 1 4 | 29.50 | 3.027 | 96.4 |
| 2 0 4 | 41.65 | 2.169 | 50.0 |
| 1 2 4 | 51.38 | 1.778 | 43.2 |
| 3 0 0 | 50.89 | 1.794 | 23.8 |
| 1 0 8 | 52.82 | 1.733 | 19.4 |

Cell: 6.2152 6.2152 14.6465 Å, 90.00 90.00 120.00°
Space group P-3c1 (No. 165)
Unique sites:
Ba (0.0000, 0.0000, 0.2500)
Ba (0.3333, 0.6667, 0.0846)
Re (0.0000, 0.0000, 0.0000)
Bi (0.3333, 0.6667, 0.3356)
O (0.0000, 0.4410, 0.2500)
O (0.0677, 0.2837, 0.9241)



For Ba3Bi4Pd4, the PBE geometry in OQMD gives the calculated powder X-ray diffraction pattern in this record (λ = 1.5418 Å (Cu Kα)).
Peak positions follow from Bragg's law for the DFT cell and can differ from measured ones.

The 6 most intense peaks (2θ = 15–90°), by intensity:
| h k l | 2theta | d [Å] | Rel. int. |
| --- | --- | --- | --- |
| 0 2 0 | 36.90 | 2.436 | 100.0 |
| 2 2 0 | 53.90 | 1.701 | 67.7 |
| 1 1 2 | 29.16 | 3.062 | 60.6 |
| 1 1 1 | 26.96 | 3.307 | 42.8 |
| 1 0 4 | 31.66 | 2.826 | 39.7 |
| 2 0 0 | 37.86 | 2.376 | 39.1 |

Cell: 4.752 4.873 14.058 Å, 90.00 90.00 90.00°
Space group Pmmm (No. 47)
Unique sites:
Ba (0.000, 0.000, 0.000)
Ba (0.000, 0.500, 0.306)
Bi (0.500, 0.000, 0.387)
Bi (0.500, 0.500, 0.110)
Pd (0.000, 0.000, 0.500)
Pd (0.500, 0.000, 0.192)
Pd (0.500, 0.500, 0.500)



For BaBiSbPd, the PBE geometry in OQMD gives the calculated powder X-ray diffraction pattern in this record (λ = 1.5418 Å (Cu Kα)).
Peak positions follow from Bragg's law for the DFT cell and can differ from measured ones.

The 6 most intense peaks (2θ = 15–90°), by intensity:
| h k l | 2theta | d [Å] | Rel. int. |
| --- | --- | --- | --- |
| 1 3 1 | 28.87 | 3.093 | 100.0 |
| 1 7 1 | 41.83 | 2.160 | 32.2 |
| 0 0 2 | 35.61 | 2.521 | 30.8 |
| 2 0 0 | 36.18 | 2.483 | 29.5 |
| 2 0 2 | 51.67 | 1.769 | 21.3 |
| 1 5 0 | 29.50 | 3.028 | 20.6 |

Cell: 4.966 19.100 5.042 Å, 90.00 90.00 90.00°
Space group Cmcm (No. 63)
Unique sites:
Ba (0.000, 0.103, 0.250)
Bi (0.000, 0.251, 0.750)
Sb (0.000, 0.459, 0.250)
Pd (0.000, 0.321, 0.250)



For BaBiPt2, the PBE geometry in OQMD gives the calculated powder X-ray diffraction pattern in this record (λ = 1.5418 Å (Cu Kα)).
Peak positions follow from Bragg's law for the DFT cell and can differ from measured ones.

The 6 most intense peaks (2θ = 15–90°), by intensity:
| h k l | 2theta | d [Å] | Rel. int. |
| --- | --- | --- | --- |
| 1 0 2 | 39.00 | 2.310 | 100.0 |
| 1 1 0 | 37.60 | 2.392 | 94.4 |
| 1 0 1 | 26.83 | 3.323 | 75.1 |
| 2 1 2 | 68.79 | 1.365 | 38.7 |
| 1 0 0 | 21.44 | 4.144 | 37.2 |
| 2 0 2 | 55.29 | 1.662 | 36.9 |

Cell: 4.7847 4.7847 5.5635 Å, 90.00 90.00 120.00°
Space group P-6m2 (No. 187)
Unique sites:
Ba (0.0000, 0.0000, 0.0000)
Bi (0.6667, 0.3333, 0.5000)
Pt (0.3333, 0.6667, 0.2619)



For BaSnBiPt2, the PBE geometry in OQMD gives the calculated powder X-ray diffraction pattern in this record (λ = 1.5418 Å (Cu Kα)).
Peak positions follow from Bragg's law for the DFT cell and can differ from measured ones.

The 6 most intense peaks (2θ = 15–90°), by intensity:
| h k l | 2theta | d [Å] | Rel. int. |
| --- | --- | --- | --- |
| 1 1 -2 | 30.15 | 2.964 | 100.0 |
| 1 1 2 | 31.05 | 2.880 | 68.9 |
| 0 2 0 | 36.86 | 2.439 | 63.2 |
| 2 0 0 | 35.78 | 2.510 | 54.7 |
| 0 0 2 | 16.69 | 5.313 | 40.5 |
| 1 1 -4 | 42.06 | 2.148 | 39.1 |

Cell: 5.025 4.877 10.637 Å, 90.00 92.58 90.00°
Space group P2_1/m (No. 11)
Unique sites:
Ba (0.241, 0.250, 0.243)
Sn (0.301, 0.250, 0.894)
Bi (0.248, 0.750, 0.498)
Pt (0.184, 0.750, 0.997)
Pt (0.263, 0.250, 0.640)



For Ba3Zn2Bi2Sb2, the PBE geometry in OQMD gives the calculated powder X-ray diffraction pattern in this record (λ = 1.5418 Å (Cu Kα)).
Peak positions follow from Bragg's law for the DFT cell and can differ from measured ones.

The 6 most intense peaks (2θ = 15–90°), by intensity:
| h k l | 2theta | d [Å] | Rel. int. |
| --- | --- | --- | --- |
| 3 1 1 | 30.09 | 2.970 | 100.0 |
| 1 1 -2 | 29.78 | 3.000 | 85.5 |
| 3 1 0 | 24.18 | 3.681 | 60.0 |
| 0 2 0 | 36.72 | 2.447 | 57.9 |
| 5 1 -1 | 30.65 | 2.916 | 54.8 |
| 1 1 -1 | 21.48 | 4.136 | 35.0 |

Cell: 18.221 4.895 7.739 Å, 90.00 113.20 90.00°
Space group C2/m (No. 12)
Unique sites:
Ba (0.000, 0.000, 0.000)
Ba (0.139, 0.000, 0.606)
Zn (0.166, 0.500, 0.961)
Bi (0.207, 0.000, 0.179)
Sb (0.006, 0.500, 0.691)



For BaSrZn2Bi4, the PBE geometry in OQMD gives the calculated powder X-ray diffraction pattern in this record (λ = 1.5418 Å (Cu Kα)).
Peak positions follow from Bragg's law for the DFT cell and can differ from measured ones.

The 6 most intense peaks (2θ = 15–90°), by intensity:
| h k l | 2theta | d [Å] | Rel. int. |
| --- | --- | --- | --- |
| 1 1 4 | 31.12 | 2.874 | 100.0 |
| 2 0 0 | 38.39 | 2.345 | 46.5 |
| 1 1 2 | 28.00 | 3.187 | 37.8 |
| 1 0 5 | 27.13 | 3.287 | 34.2 |
| 3 1 4 | 64.92 | 1.436 | 26.1 |
| 1 1 8 | 41.54 | 2.174 | 24.6 |

Cell: 4.690 4.690 23.034 Å, 90.00 90.00 90.00°
Space group I4mm (No. 107)
Unique sites:
Ba (0.000, 0.000, 0.000)
Sr (0.000, 0.000, 0.756)
Zn (0.000, 0.500, 0.132)
Bi (0.000, 0.000, 0.209)
Bi (0.000, 0.000, 0.558)
Bi (0.000, 0.500, 0.374)



For Ba2Zn3Br2O4, the PBE geometry in OQMD gives the calculated powder X-ray diffraction pattern in this record (λ = 1.5418 Å (Cu Kα)).
Peak positions follow from Bragg's law for the DFT cell and can differ from measured ones.

The 6 most intense peaks (2θ = 15–90°), by intensity:
| h k l | 2theta | d [Å] | Rel. int. |
| --- | --- | --- | --- |
| 1 1 4 | 33.66 | 2.663 | 100.0 |
| 2 0 0 | 31.31 | 2.857 | 81.3 |
| 1 0 3 | 24.46 | 3.640 | 70.9 |
| 2 2 0 | 44.87 | 2.020 | 44.4 |
| 3 1 4 | 57.24 | 1.609 | 42.3 |
| 2 1 3 | 40.12 | 2.247 | 38.4 |

Cell: 5.714 5.714 14.164 Å, 90.00 90.00 90.00°
Space group I4/mmm (No. 139)
Unique sites:
Ba (0.000, 0.000, 0.131)
Zn (0.000, 0.000, 0.500)
Zn (0.000, 0.500, 0.000)
Br (0.000, 0.500, 0.250)
O (0.248, 0.248, 0.000)



For Cs3BaCu2C7S7N7, the PBE geometry in OQMD gives the calculated powder X-ray diffraction pattern in this record (λ = 1.5418 Å (Cu Kα)).
Peak positions follow from Bragg's law for the DFT cell and can differ from measured ones.

The 6 most intense peaks (2θ = 15–90°), by intensity:
| h k l | 2theta | d [Å] | Rel. int. |
| --- | --- | --- | --- |
| 1 1 6 | 29.07 | 3.072 | 100.0 |
| 3 1 2 | 27.21 | 3.277 | 70.5 |
| 3 1 4 | 31.35 | 2.853 | 69.6 |
| 2 0 2 | 18.44 | 4.812 | 67.9 |
| 2 2 0 | 22.94 | 3.876 | 67.3 |
| 1 1 4 | 21.08 | 4.214 | 60.6 |

Cell: 10.964 10.964 20.085 Å, 90.00 90.00 90.00°
Space group I-42m (No. 121)
Unique sites:
Cs (0.000, 0.500, 0.000)
Cs (0.234, 0.234, 0.297)
Ba (0.000, 0.000, 0.099)
Cu (0.147, 0.147, 0.595)
C (0.000, 0.000, 0.300)
C (0.076, 0.323, 0.148)
C (0.213, 0.213, 0.995)
S (0.000, 0.000, 0.383)
S (0.070, 0.319, 0.651)
S (0.182, 0.182, 0.483)
N (0.000, 0.000, 0.241)
N (0.001, 0.247, 0.854)
N (0.137, 0.137, 0.001)



For Ba3Ho2Cu2PtC10, the PBE geometry in OQMD gives the calculated powder X-ray diffraction pattern in this record (λ = 1.5418 Å (Cu Kα)).
Peak positions follow from Bragg's law for the DFT cell and can differ from measured ones.

The 6 most intense peaks (2θ = 15–90°), by intensity:
| h k l | 2theta | d [Å] | Rel. int. |
| --- | --- | --- | --- |
| 3 1 1 | 30.33 | 2.947 | 100.0 |
| 0 2 0 | 32.43 | 2.761 | 74.8 |
| 3 1 -2 | 28.98 | 3.081 | 61.3 |
| 1 1 -2 | 26.13 | 3.410 | 57.1 |
| 3 1 -1 | 24.97 | 3.566 | 52.2 |
| 1 1 -1 | 19.27 | 4.605 | 43.8 |

Cell: 14.375 5.522 8.677 Å, 90.00 109.66 90.00°
Space group C2/m (No. 12)
Unique sites:
Ba (0.000, 0.000, 0.000)
Ba (0.142, 0.000, 0.491)
Ho (0.195, 0.500, 0.822)
Cu (0.141, 0.500, 0.301)
Pt (0.000, 0.500, 0.500)
C (0.015, 0.382, 0.760)
C (0.159, 0.500, 0.539)
C (0.211, 0.383, 0.133)



For BaZnCO3F2, the PBE geometry in OQMD gives the calculated powder X-ray diffraction pattern in this record (λ = 1.5418 Å (Cu Kα)).
Peak positions follow from Bragg's law for the DFT cell and can differ from measured ones.

The 6 most intense peaks (2θ = 15–90°), by intensity:
| h k l | 2theta | d [Å] | Rel. int. |
| --- | --- | --- | --- |
| 1 0 2 | 28.19 | 3.166 | 100.0 |
| 1 1 0 | 37.29 | 2.412 | 53.8 |
| 1 1 4 | 53.57 | 1.711 | 30.7 |
| 2 0 2 | 47.39 | 1.918 | 27.4 |
| 0 0 4 | 37.04 | 2.427 | 26.5 |
| 2 1 2 | 61.79 | 1.501 | 19.2 |

Cell: 4.8233 4.8233 9.7077 Å, 90.00 90.00 120.00°
Space group P6_3/m (No. 176)
Unique sites:
Ba (0.0000, 0.0000, 0.0000)
Zn (0.3333, 0.6667, 0.2500)
C (0.3333, 0.6667, 0.7500)
O (0.1053, 0.3719, 0.7500)
F (0.3333, 0.6667, 0.0414)